(1)
Starting from DFT lattice parameters and positions (PBE), the powder diffractogram of Pm2ZnGe3 was computed for Cu Kα.
Lines closer than 0.1° are merged.

Cell and atoms:
```
6
Lattice="4.153 0.000 0.000 0.000 4.327 0.000 0.000 0.000 7.296" Properties=species:S:1:pos:R:3 pbc="T T T"
Pm 0.000 0.000 0.000
Pm 0.000 2.164 3.559
Zn 2.077 2.164 5.994
Ge 2.077 0.000 2.401
Ge 2.077 0.000 4.885
Ge 2.077 2.164 1.131
```

Peak list (10 most intense, 2θ = 15–90°, by angle)
2theta, I/Imax
23.91, 12
32.30, 100
32.67, 50
41.75, 22
42.65, 41
43.58, 20
53.99, 24
61.93, 14
62.62, 26
70.28, 10

=====

(2)
Starting from DFT lattice parameters and positions (PBE), the powder diffractogram of Cs2DyYO4 was computed for Cu Kα.
Lines closer than 0.1° are merged.

Cell and atoms:
```
8
Lattice="3.530 0.000 0.000 -1.765 3.057 0.000 0.000 0.000 13.565" Properties=species:S:1:pos:R:3 pbc="T T T"
Cs 0.000 2.038 3.391
Cs 1.765 1.019 10.174
Dy 0.000 0.000 6.783
Y 0.000 0.000 0.000
O 0.000 2.038 7.910
O 0.000 2.038 12.435
O 1.765 1.019 1.130
O 1.765 1.019 5.655
```

Peak list (10 most intense, 2θ = 15–90°, by angle)
2theta, I/Imax
26.28, 48
29.96, 39
32.12, 100
35.45, 49
44.66, 13
50.19, 36
51.80, 31
59.00, 31
62.27, 15
78.17, 14

=====

(3)
Starting from DFT lattice parameters and positions (PBE), the powder diffractogram of TlNi2Pt2 was computed for Cu Kα.
Lines closer than 0.1° are merged.

Cell and atoms:
```
5
Lattice="-1.911 1.911 5.665 1.911 -1.911 5.665 1.911 1.911 -5.665" Properties=species:S:1:pos:R:3 pbc="T T T"
Tl 0.000 0.000 0.000
Ni 0.000 0.000 4.516
Ni 0.000 0.000 6.813
Pt 1.911 0.000 2.832
Pt 0.000 1.911 2.832
```

Peak list (10 most intense, 2θ = 15–90°, by angle)
2theta, I/Imax
15.64, 11
31.59, 22
33.35, 20
36.85, 100
46.44, 11
46.60, 14
47.58, 32
58.24, 16
59.74, 15
81.41, 21

=====

(4)
Starting from DFT lattice parameters and positions (PBE), the powder diffractogram of Tm3Co2 was computed for Cu Kα.
Lines closer than 0.1° are merged.

Cell and atoms:
```
10
Lattice="6.460 -1.892 0.000 6.460 1.892 0.000 -3.253 0.000 8.524" Properties=species:S:1:pos:R:3 pbc="T T T"
Tm 0.809 0.000 1.538
Tm 4.291 0.000 1.103
Tm 3.099 0.000 4.303
Tm 6.569 0.000 4.221
Tm 5.376 0.000 7.421
Tm 8.859 0.000 6.986
Co -1.629 0.000 5.471
Co 0.652 0.000 6.305
Co 9.015 0.000 2.219
Co 11.297 0.000 3.053
```

Peak list (10 most intense, 2θ = 15–90°, by angle)
2theta, I/Imax
25.75, 14
29.60, 30
31.50, 30
32.48, 16
34.18, 100
34.81, 27
36.63, 24
39.56, 17
42.44, 24
48.08, 20